Sr4La4Mn7CuO24: simulated PXRD pattern (Cu Kα X-rays), based on a crystal structure in the Materials Project, relaxed with PBE+U.

Structural model:
Lattice parameters (Å, degrees): 5.458 5.552 18.194 97.42 90.03 119.42
Positions (direct):
Sr 0.064 0.126 0.187
Sr 0.185 0.375 0.561
Sr 0.815 0.625 0.439
Sr 0.936 0.874 0.813
La 0.312 0.626 0.939
La 0.443 0.878 0.315
La 0.557 0.122 0.685
La 0.688 0.374 0.061
Mn 0.126 0.252 0.376
Mn 0.248 0.498 0.750
Mn 0.374 0.752 0.125
Mn 0.500 0.000 0.500
Mn 0.626 0.248 0.875
Mn 0.752 0.502 0.250
Mn 0.874 0.748 0.624
Cu 0.000 0.000 0.000
O 0.062 0.129 0.689
O 0.103 0.616 0.200
O 0.119 0.654 0.680
O 0.131 0.841 0.071
O 0.167 0.894 0.557
O 0.206 0.403 0.063
O 0.315 0.628 0.434
O 0.349 0.099 0.949
O 0.354 0.135 0.426
O 0.386 0.362 0.825
O 0.415 0.405 0.303
O 0.433 0.871 0.813
O 0.567 0.129 0.187
O 0.585 0.595 0.697
O 0.614 0.638 0.175
O 0.646 0.865 0.574
O 0.651 0.901 0.051
O 0.685 0.372 0.566
O 0.794 0.597 0.937
O 0.833 0.106 0.443
O 0.869 0.159 0.929
O 0.881 0.346 0.320
O 0.897 0.384 0.800
O 0.938 0.871 0.311

The 10 most intense peaks (10 to 90 degrees two-theta), in order of falling intensity:
32.29 deg, d 2.772, I 100.0, hkl 1 1 -1
32.81 deg, d 2.729, I 52.2, hkl 2 -1 0
47.09 deg, d 1.930, I 32.2, hkl 2 0 -6
58.27 deg, d 1.583, I 29.9, hkl 3 0 -1
45.53 deg, d 1.992, I 19.1, hkl 0 2 4
40.03 deg, d 2.253, I 17.7, hkl -2 2 2
57.28 deg, d 1.608, I 15.5, hkl -2 3 4
58.18 deg, d 1.586, I 10.3, hkl 1 2 -7
67.50 deg, d 1.388, I 9.9, hkl 2 -4 2
67.65 deg, d 1.385, I 9.8, hkl -2 2 10